Theoretical X-ray diffraction stick pattern
Compound: Pr4SnTeC
Radiation: Cu Kα, 1.54184 Å
Structure: DFT lattice parameters and positions (GGA-PBE)
No peak broadening, texture or thermal motion is included.

Cell and atoms:
```
Pr4SnTeC
1.0
3.5716 -8.2167 0.0000
3.5716 8.2167 0.0000
0.0000 0.0000 7.1629
Pr Sn Te C
8 2 2 2
Cartesian
1.7858 4.1084 0.0000 Pr
1.7858 4.1084 3.5814 Pr
3.5716 6.7544 5.3722 Pr
3.5716 1.5129 5.3722 Pr
1.7858 -4.1084 0.0000 Pr
1.7858 -4.1084 3.5814 Pr
3.5716 -1.5129 1.7907 Pr
3.5716 -6.7544 1.7907 Pr
3.5716 6.4156 1.7907 Sn
3.5716 -6.4156 5.3722 Sn
3.5716 1.8219 1.7907 Te
3.5716 -1.8219 5.3722 Te
3.5716 4.1307 5.3722 C
3.5716 -4.1307 1.7907 C
```

Peak list (6 most intense, 10 to 80 degrees two-theta, low angle first)
| 2θ (°) | I_rel |
| --- | --- |
| 27.2 | 68 |
| 32.7 | 27 |
| 33.2 | 100 |
| 35.5 | 60 |
| 49.0 | 34 |
| 62.2 | 34 |

***

Theoretical X-ray diffraction stick pattern
Compound: Tb3PrC8
Radiation: Cu Kα, 1.54184 Å
Structure: DFT lattice parameters and positions (GGA-PBE)
No peak broadening, texture or thermal motion is included.

Cell and atoms:
```
Tb3PrC8
1.0
0.0000 4.8821 4.0241
4.8683 0.0000 4.0241
4.8683 4.8821 0.0000
Tb Pr C
3 1 8
Cartesian
0.0000 0.0000 0.0000 Tb
2.4341 2.4411 2.0275 Tb
7.3024 7.3232 6.0516 Tb
4.8683 4.8821 4.0246 Pr
6.5322 4.8821 1.9304 C
7.4189 4.8821 2.8766 C
4.8683 2.3337 5.1648 C
3.2043 4.8821 1.9304 C
4.8683 3.2174 6.1149 C
2.3177 4.8821 2.8766 C
4.8683 7.4305 5.1648 C
4.8683 6.5469 6.1149 C
```

Peak list (6 most intense, 10 to 80 degrees two-theta, low angle first)
| 2θ (°) | I_rel |
| --- | --- |
| 25.8 | 52 |
| 28.8 | 100 |
| 36.8 | 16 |
| 36.9 | 16 |
| 47.4 | 56 |
| 52.7 | 20 |